# ReB2
Computed X-ray powder pattern, λ = 1.5418 Å (Cu Kα). Input: a DFT-relaxed cell (PBE, the Materials Project).
Peak positions follow from Bragg's law for the DFT cell and can differ from measured ones.

Largest 12 diffraction maxima, sorted by position, 2θ from 10° to 80°:
d/Å	I_rel
3.752	63
2.526	24
2.394	100
2.095	21
1.876	12
1.777	48
1.506	9
1.458	17
1.359	21
1.290	13
1.251	3
1.246	13

Structure:
Unit cell a=2.9170 b=2.9170 c=7.5035 alpha=90.00 beta=90.00 gamma=120.00
Positions (direct):
1 Re 0.3333 0.6667 0.2500
2 Re 0.6667 0.3333 0.7500
3 B 0.3333 0.6667 0.5477
4 B 0.3333 0.6667 0.9523
5 B 0.6667 0.3333 0.0477
6 B 0.6667 0.3333 0.4523



# TiF2
Computed X-ray powder pattern, λ = 1.5418 Å (Cu Kα). Input: a DFT-relaxed cell (PBE, the Materials Project).
Peak positions follow from Bragg's law for the DFT cell and can differ from measured ones.

Largest 6 diffraction maxima, sorted by position, 2θ from 10° to 80°:
d/Å	I_rel
2.998	98
2.597	1
1.836	100
1.566	35
1.499	1
1.298	13

Structure:
Unit cell a=5.1931 b=5.1931 c=5.1931 alpha=90.00 beta=90.00 gamma=90.00
Positions (direct):
1 Ti 0.0000 0.0000 0.0000
2 Ti 0.0000 0.5000 0.5000
3 Ti 0.5000 0.0000 0.5000
4 Ti 0.5000 0.5000 0.0000
5 F 0.2500 0.2500 0.2500
6 F 0.2500 0.2500 0.7500
7 F 0.2500 0.7500 0.2500
8 F 0.2500 0.7500 0.7500
9 F 0.7500 0.2500 0.2500
10 F 0.7500 0.2500 0.7500
11 F 0.7500 0.7500 0.2500
12 F 0.7500 0.7500 0.7500



# LaTl3
Computed X-ray powder pattern, λ = 1.5418 Å (Cu Kα). Input: a DFT-relaxed cell (PBE, the Materials Project).
Peak positions follow from Bragg's law for the DFT cell and can differ from measured ones.

Largest 11 diffraction maxima, sorted by position, 2θ from 10° to 80°:
d/Å	I_rel
4.908	2
3.470	2
2.833	100
2.454	51
2.195	1
2.004	1
1.735	36
1.636	1
1.480	43
1.417	12
1.227	6

Structure:
Unit cell a=4.9077 b=4.9077 c=4.9077 alpha=90.00 beta=90.00 gamma=90.00
Positions (direct):
1 La 0.0000 0.0000 0.0000
2 Tl 0.0000 0.5000 0.5000
3 Tl 0.5000 0.0000 0.5000
4 Tl 0.5000 0.5000 0.0000



# SmAgAs2
Computed X-ray powder pattern, λ = 1.5418 Å (Cu Kα). Input: a DFT-relaxed cell (PBE, the Materials Project).
Peak positions follow from Bragg's law for the DFT cell and can differ from measured ones.

Largest 12 diffraction maxima, sorted by position, 2θ from 10° to 80°:
d/Å	I_rel
3.762	12
3.200	12
2.648	11
2.637	19
2.505	100
2.206	10
2.013	30
1.868	7
1.600	16
1.424	10
1.253	9
1.238	21

Structure:
Unit cell a=4.0269 b=4.0269 c=10.5462 alpha=90.00 beta=90.00 gamma=90.00
Positions (direct):
1 Sm 0.2500 0.2500 0.2297
2 Sm 0.7500 0.7500 0.7703
3 Ag 0.2500 0.7500 0.5000
4 Ag 0.7500 0.2500 0.5000
5 As 0.2500 0.2500 0.6825
6 As 0.2500 0.7500 0.0000
7 As 0.7500 0.2500 0.0000
8 As 0.7500 0.7500 0.3175



# Mg2CoB2Ir5
Computed X-ray powder pattern, λ = 1.5418 Å (Cu Kα). Input: a DFT-relaxed cell (PBE, the Materials Project).
Peak positions follow from Bragg's law for the DFT cell and can differ from measured ones.

Largest 12 diffraction maxima, sorted by position, 2θ from 10° to 80°:
d/Å	I_rel
4.225	53
2.987	50
2.897	93
2.620	59
2.389	39
2.291	84
2.112	53
2.080	100
1.943	60
1.797	57
1.267	35
1.213	54

Structure:
Unit cell a=9.4469 b=9.4469 c=2.8966 alpha=90.00 beta=90.00 gamma=90.00
Positions (direct):
1 Mg 0.1765 0.3235 0.0000
2 Mg 0.3235 0.8235 0.0000
3 Mg 0.6765 0.1765 0.0000
4 Mg 0.8235 0.6765 0.0000
5 Co 0.0000 0.0000 0.0000
6 Co 0.5000 0.5000 0.0000
7 B 0.1264 0.6264 0.0000
8 B 0.3736 0.1264 0.0000
9 B 0.6264 0.8736 0.0000
10 B 0.8736 0.3736 0.0000
11 Ir 0.0000 0.5000 0.5000
12 Ir 0.0706 0.7857 0.5000
13 Ir 0.2143 0.0706 0.5000
14 Ir 0.2857 0.5706 0.5000
15 Ir 0.4294 0.2857 0.5000
16 Ir 0.5000 0.0000 0.5000
17 Ir 0.5706 0.7143 0.5000
18 Ir 0.7143 0.4294 0.5000
19 Ir 0.7857 0.9294 0.5000
20 Ir 0.9294 0.2143 0.5000



# Sc2GaN3
Computed X-ray powder pattern, λ = 1.5418 Å (Cu Kα). Input: a DFT-relaxed cell (PBE, the Materials Project).
Peak positions follow from Bragg's law for the DFT cell and can differ from measured ones.

Largest 12 diffraction maxima, sorted by position, 2θ from 10° to 80°:
d/Å	I_rel
4.880	35
3.820	63
3.075	43
2.752	48
2.746	100
2.561	70
2.504	38
2.434	93
2.281	57
2.231	32
1.825	25
1.775	34

Structure:
Unit cell a=5.6102 b=5.6102 c=11.0876 alpha=93.49 beta=93.49 gamma=120.89
Positions (direct):
1 Sc 0.0186 0.4366 0.8634
2 Sc 0.0797 0.3067 0.4322
3 Sc 0.3067 0.0797 0.9322
4 Sc 0.4366 0.0186 0.3634
5 Sc 0.5634 0.9814 0.6366
6 Sc 0.6933 0.9203 0.0678
7 Sc 0.9203 0.6933 0.5678
8 Sc 0.9814 0.5634 0.1366
9 Ga 0.2760 0.2818 0.6650
10 Ga 0.2818 0.2760 0.1650
11 Ga 0.7182 0.7240 0.8350
12 Ga 0.7240 0.7182 0.3350
13 N 0.0387 0.9613 0.2500
14 N 0.0661 0.2797 0.0218
15 N 0.2017 0.5577 0.6096
16 N 0.2797 0.0661 0.5218
17 N 0.3701 0.6299 0.2500
18 N 0.4423 0.7983 0.8904
19 N 0.5577 0.2017 0.1096
20 N 0.6299 0.3701 0.7500
21 N 0.7203 0.9339 0.4782
22 N 0.7983 0.4423 0.3904
23 N 0.9339 0.7203 0.9782
24 N 0.9613 0.0387 0.7500



# NaPH2O4
Computed X-ray powder pattern, λ = 1.5418 Å (Cu Kα). Input: a DFT-relaxed cell (PBE, the Materials Project).
Peak positions follow from Bragg's law for the DFT cell and can differ from measured ones.

Largest 12 diffraction maxima, sorted by position, 2θ from 10° to 80°:
d/Å	I_rel
5.692	49
5.242	100
4.951	57
3.843	43
3.368	42
3.269	74
3.155	68
3.113	58
3.096	61
2.820	39
2.626	56
2.484	37

Structure:
Unit cell a=6.3894 b=6.7417 c=9.6680 alpha=93.59 beta=103.18 gamma=107.20
Positions (direct):
1 Na 0.0779 0.1781 0.3737
2 Na 0.2598 0.4429 0.0958
3 Na 0.7402 0.5571 0.9042
4 Na 0.9221 0.8219 0.6263
5 P 0.2550 0.7326 0.4097
6 P 0.4868 0.8986 0.7130
7 P 0.5132 0.1014 0.2871
8 P 0.7450 0.2674 0.5903
9 H 0.1702 0.8654 0.0686
10 H 0.1981 0.7798 0.9229
11 H 0.2145 0.3524 0.7692
12 H 0.3393 0.2070 0.8407
13 H 0.6607 0.7930 0.1593
14 H 0.7855 0.6476 0.2308
15 H 0.8019 0.2202 0.0771
16 H 0.8298 0.1346 0.9314
17 O 0.0827 0.8403 0.4202
18 O 0.1410 0.7336 0.0065
19 O 0.1818 0.5183 0.3285
20 O 0.2911 0.8929 0.7763
21 O 0.3005 0.1289 0.1984
22 O 0.3249 0.3471 0.8569
23 O 0.4040 0.7253 0.5701
24 O 0.4577 0.8790 0.3491
25 O 0.5423 0.1210 0.6509
26 O 0.5960 0.2747 0.4299
27 O 0.6751 0.6529 0.1431
28 O 0.6995 0.8711 0.8016
29 O 0.7089 0.1071 0.2237
30 O 0.8182 0.4817 0.6715
31 O 0.8590 0.2664 0.9935
32 O 0.9173 0.1597 0.5798